Entry 1:
This entry pairs a crystal structure of SrReN3 with its computed PXRD pattern. Radiation: λ = 1.5418 Å (Cu Kα). Structure: a GGA-PBE-relaxed structure.
Kinematic intensities with the Lorentz-polarization factor, no thermal factor.

Largest 6 diffraction maxima, in order of rising 2θ, 2θ from 5° to 70°:
2θ 13.94, rel. 64; 2θ 17.43, rel. 85; 2θ 24.91, rel. 100; 2θ 25.71, rel. 58; 2θ 27.15, rel. 74; 2θ 30.38, rel. 61

Crystal structure
Cell lengths 4.674, 5.774, 6.811 Å; angles 69.69, 84.26, 89.92 degrees
Element x y z (fractional)
Sr  0.000  0.000  0.000
Sr  0.409  0.420  0.222
Re  0.070  0.600  0.753
Re  0.717  0.935  0.564
N  0.055  0.395  0.580
N  0.382  0.788  0.761
N  0.465  0.920  0.169
N  0.577  0.910  0.332
N  0.911  0.205  0.585
N  0.922  0.463  0.022

Entry 2:
This entry pairs a crystal structure of SrTbReN4 with its computed PXRD pattern. Radiation: λ = 1.5418 Å (Cu Kα). Structure: a GGA-PBE-relaxed structure.
Kinematic intensities with the Lorentz-polarization factor, no thermal factor.

Largest 6 diffraction maxima, in order of rising 2θ, 2θ from 5° to 70°:
2θ 13.08, rel. 100; 2θ 19.88, rel. 88; 2θ 30.08, rel. 96; 2θ 30.39, rel. 73; 2θ 30.57, rel. 74; 2θ 38.26, rel. 87

Crystal structure
Cell lengths 5.911, 5.942, 7.065 Å; angles 90.00, 106.64, 90.00 degrees
Element x y z (fractional)
Sr  0.222  0.250  0.430
Sr  0.778  0.750  0.570
Tb  0.303  0.250  0.959
Tb  0.697  0.750  0.041
Re  0.241  0.750  0.177
Re  0.759  0.250  0.823
N  0.043  0.750  0.334
N  0.051  0.750  0.928
N  0.448  0.509  0.215
N  0.448  0.991  0.215
N  0.552  0.009  0.785
N  0.552  0.491  0.785
N  0.949  0.250  0.072
N  0.957  0.250  0.666

Entry 3:
This entry pairs a crystal structure of Sr2TbReN4 with its computed PXRD pattern. Radiation: λ = 1.5418 Å (Cu Kα). Structure: a GGA-PBE-relaxed structure.
Kinematic intensities with the Lorentz-polarization factor, no thermal factor.

Largest 6 diffraction maxima, in order of rising 2θ, 2θ from 5° to 70°:
2θ 26.55, rel. 47; 2θ 29.98, rel. 69; 2θ 30.98, rel. 100; 2θ 31.69, rel. 43; 2θ 45.45, rel. 32; 2θ 56.46, rel. 30

Crystal structure
Cell lengths 7.648, 7.019, 5.647 Å; angles 90.00, 90.00, 90.00 degrees
Element x y z (fractional)
Sr  0.246  0.160  0.000
Sr  0.254  0.840  0.500
Sr  0.746  0.840  0.500
Sr  0.754  0.160  0.000
Tb  0.000  0.660  0.016
Tb  0.500  0.340  0.516
Re  0.000  0.349  0.541
Re  0.500  0.651  0.041
N  0.000  0.368  0.870
N  0.000  0.597  0.419
N  0.209  0.220  0.472
N  0.291  0.780  0.972
N  0.500  0.403  0.919
N  0.500  0.632  0.370
N  0.709  0.780  0.972
N  0.791  0.220  0.472

Entry 4:
This entry pairs a crystal structure of SrZn2ReN4 with its computed PXRD pattern. Radiation: λ = 1.5418 Å (Cu Kα). Structure: a GGA-PBE-relaxed structure.
Kinematic intensities with the Lorentz-polarization factor, no thermal factor.

Largest 6 diffraction maxima, in order of rising 2θ, 2θ from 5° to 70°:
2θ 19.98, rel. 22; 2θ 32.70, rel. 100; 2θ 33.34, rel. 38; 2θ 47.87, rel. 19; 2θ 57.95, rel. 22; 2θ 59.18, rel. 36

Crystal structure
Cell lengths 5.481, 5.481, 5.481 Å; angles 121.28, 121.28, 87.79 degrees
Element x y z (fractional)
Sr  0.000  0.000  0.000
Zn  0.250  0.750  0.500
Zn  0.750  0.250  0.500
Re  0.500  0.500  0.000
N  0.162  0.557  0.000
N  0.443  0.443  0.605
N  0.557  0.162  0.000
N  0.838  0.838  0.395

Entry 5:
This entry pairs a crystal structure of TbReN4 with its computed PXRD pattern. Radiation: λ = 1.5418 Å (Cu Kα). Structure: a GGA-PBE-relaxed structure.
Kinematic intensities with the Lorentz-polarization factor, no thermal factor.

Largest 6 diffraction maxima, in order of rising 2θ, 2θ from 5° to 70°:
2θ 28.34, rel. 100; 2θ 30.27, rel. 17; 2θ 34.06, rel. 25; 2θ 46.20, rel. 29; 2θ 52.60, rel. 18; 2θ 57.51, rel. 28

Crystal structure
Cell lengths 6.980, 6.980, 6.980 Å; angles 135.69, 135.69, 64.47 degrees
Element x y z (fractional)
Tb  0.375  0.125  0.250
Tb  0.625  0.875  0.750
Re  0.125  0.375  0.750
Re  0.875  0.625  0.250
N  0.069  0.207  0.355
N  0.214  0.569  0.362
N  0.293  0.148  0.862
N  0.352  0.714  0.145
N  0.648  0.286  0.855
N  0.707  0.852  0.138
N  0.786  0.431  0.638
N  0.931  0.793  0.645

Entry 6:
This entry pairs a crystal structure of TiReN3 with its computed PXRD pattern. Radiation: λ = 1.5418 Å (Cu Kα). Structure: a GGA-PBE-relaxed structure.
Kinematic intensities with the Lorentz-polarization factor, no thermal factor.

Largest 6 diffraction maxima, in order of rising 2θ, 2θ from 5° to 70°:
2θ 14.15, rel. 100; 2θ 21.45, rel. 80; 2θ 33.02, rel. 42; 2θ 35.61, rel. 67; 2θ 37.87, rel. 60; 2θ 45.73, rel. 46

Crystal structure
Cell lengths 6.426, 6.426, 5.617 Å; angles 91.06, 91.06, 25.99 degrees
Element x y z (fractional)
Ti  0.000  0.000  0.000
Ti  0.049  0.049  0.504
Re  0.344  0.344  0.260
Re  0.740  0.740  0.668
N  0.143  0.143  0.817
N  0.201  0.201  0.405
N  0.367  0.367  0.621
N  0.466  0.466  0.722
N  0.517  0.517  0.244
N  0.823  0.823  0.010